Starting from a crystal structure in Alexandria, relaxed with GGA-PBE, the PXRD pattern of Pr6NdY was calculated for CuKα.
Kinematic intensities with the Lorentz-polarization factor, no thermal factor.

Largest 9 diffraction maxima, in order of falling intensity, 2θ from 10° to 80°:
(hkl)	two_theta	Rel. int.
1 1 2	29.62	100
2 0 0	34.34	51
3 1 2	58.62	43
2 2 0	49.35	36
2 2 4	61.50	12
4 0 0	72.37	6
1 0 1	19.00	1
0 0 3	25.58	1
1 0 0	16.98	1

Crystal structure
```
data_Pr6NdY
_chemical_formula_sum 'Pr6 Nd1 Y1'
_cell_length_a 5.2242
_cell_length_b 5.2242
_cell_length_c 10.4414
_cell_angle_alpha 90.00
_cell_angle_beta 90.00
_cell_angle_gamma 90.00
_symmetry_space_group_name_H-M 'P 4/m m m'
_symmetry_Int_Tables_number 123
_symmetry_space_group_name_Hall '-P 4 2'
loop_
_atom_site_label
_atom_site_type_symbol
_atom_site_fract_x
_atom_site_fract_y
_atom_site_fract_z
Pr1 Pr 0.0000 0.0000 0.0000
Pr2 Pr 0.0000 0.0000 0.5000
Pr3 Pr 0.0000 0.5000 0.2486
Nd1 Nd 0.5000 0.5000 0.5000
Y1 Y 0.5000 0.5000 0.0000
```

Starting from a crystal structure in Alexandria, relaxed with GGA-PBE, the PXRD pattern of PrNdY3 was calculated for CuKα.
Kinematic intensities with the Lorentz-polarization factor, no thermal factor.

Largest 10 diffraction maxima, in order of falling intensity, 2θ from 10° to 80°:
(hkl)	two_theta	Rel. int.
2 1 -1	29.02	100
1 2 -1	33.33	72
2 1 2	33.57	70
1 -1 0	28.42	67
2 0 -1	31.58	62
0 0 3	29.84	57
-1 1 3	34.22	55
0 2 2	32.17	41
1 0 -3	31.18	33
0 1 -2	30.34	32

Crystal structure
```
data_PrNdY3
_chemical_formula_sum 'Pr2 Nd2 Y6'
_cell_length_a 6.5846
_cell_length_b 6.6009
_cell_length_c 9.6492
_cell_angle_alpha 71.22
_cell_angle_beta 89.44
_cell_angle_gamma 60.24
_symmetry_space_group_name_H-M 'P -1'
_symmetry_Int_Tables_number 2
_symmetry_space_group_name_Hall '-P 1'
loop_
_atom_site_label
_atom_site_type_symbol
_atom_site_fract_x
_atom_site_fract_y
_atom_site_fract_z
Pr1 Pr 0.0000 0.0000 0.0000
Pr2 Pr 0.5000 0.0000 0.5000
Nd1 Nd 0.1551 0.2858 0.6915
Y1 Y 0.0003 0.1420 0.3132
Y2 Y 0.3434 0.3105 0.0466
Y3 Y 0.4252 0.5598 0.3131
```

Starting from a crystal structure in Alexandria, relaxed with GGA-PBE, the PXRD pattern of Pr3Nd2Y6 was calculated for CuKα.
Kinematic intensities with the Lorentz-polarization factor, no thermal factor.

Largest 10 diffraction maxima, in order of falling intensity, 2θ from 10° to 80°:
(hkl)	two_theta	Rel. int.
0 1 11	30.13	100
1 0 22	35.02	67
0 0 33	30.42	32
1 1 33	59.81	28
1 1 0	50.17	24
0 1 44	50.55	23
2 0 11	59.64	14
1 0 55	60.15	14
0 2 22	62.64	12
2 0 44	73.98	7

Crystal structure
```
data_Pr3Nd2Y6
_chemical_formula_sum 'Pr9 Nd6 Y18'
_cell_length_a 3.6369
_cell_length_b 3.6369
_cell_length_c 96.9631
_cell_angle_alpha 90.00
_cell_angle_beta 90.00
_cell_angle_gamma 120.00
_symmetry_space_group_name_H-M 'R -3 m'
_symmetry_Int_Tables_number 166
_symmetry_space_group_name_Hall '-R 3 2"'
loop_
_atom_site_label
_atom_site_type_symbol
_atom_site_fract_x
_atom_site_fract_y
_atom_site_fract_z
Pr1 Pr 0.0000 0.0000 0.0000
Pr2 Pr 0.0000 0.0000 0.2726
Nd1 Nd 0.0000 0.0000 0.4548
Y1 Y 0.0000 0.0000 0.0911
Y2 Y 0.0000 0.0000 0.1815
Y3 Y 0.0000 0.0000 0.3637
```

Starting from a crystal structure in Alexandria, relaxed with GGA-PBE, the PXRD pattern of Pr4Nd3Y4 was calculated for CuKα.
Kinematic intensities with the Lorentz-polarization factor, no thermal factor.

Largest 10 diffraction maxima, in order of falling intensity, 2θ from 10° to 80°:
(hkl)	two_theta	Rel. int.
2 1 3	31.47	100
0 2 0	30.72	38
3 1 1	29.99	35
2 3 3	55.07	27
1 0 4	30.39	17
4 0 0	33.03	15
3 1 7	61.04	13
5 2 4	61.32	13
1 2 4	43.76	13
4 2 0	45.72	12

Crystal structure
```
data_Pr4Nd3Y4
_chemical_formula_sum 'Pr8 Nd6 Y8'
_cell_length_a 10.8487
_cell_length_b 5.8213
_cell_length_c 12.2232
_cell_angle_alpha 90.00
_cell_angle_beta 90.00
_cell_angle_gamma 90.00
_symmetry_space_group_name_H-M 'A m m 2'
_symmetry_Int_Tables_number 38
_symmetry_space_group_name_Hall 'A 2 -2'
loop_
_atom_site_label
_atom_site_type_symbol
_atom_site_fract_x
_atom_site_fract_y
_atom_site_fract_z
Pr1 Pr 0.0000 0.0000 0.0000
Pr2 Pr 0.2103 0.0000 0.7969
Pr3 Pr 0.5000 0.0000 0.9200
Nd1 Nd 0.0000 0.0000 0.2932
Nd2 Nd 0.2938 0.0000 0.4462
Y1 Y 0.0000 0.0000 0.5945
Y2 Y 0.3009 0.0000 0.1416
Y3 Y 0.5000 0.0000 0.6489
```

Starting from a crystal structure in Alexandria, relaxed with GGA-PBE, the PXRD pattern of Pr4Nd4Y was calculated for CuKα.
Kinematic intensities with the Lorentz-polarization factor, no thermal factor.

Largest 10 diffraction maxima, in order of falling intensity, 2θ from 10° to 80°:
(hkl)	two_theta	Rel. int.
3 1 1	29.68	100
0 0 3	34.45	34
0 2 3	49.43	30
9 1 0	58.78	22
0 2 0	34.32	17
3 3 1	58.63	15
6 2 2	61.63	12
3 1 4	58.86	7
6 0 2	49.57	6
0 0 6	72.63	4

Crystal structure
```
data_Pr4Nd4Y
_chemical_formula_sum 'Pr8 Nd8 Y2'
_cell_length_a 15.6292
_cell_length_b 5.2255
_cell_length_c 8.2343
_cell_angle_alpha 90.00
_cell_angle_beta 108.56
_cell_angle_gamma 90.00
_symmetry_space_group_name_H-M 'C 1 2/m 1'
_symmetry_Int_Tables_number 12
_symmetry_space_group_name_Hall '-C 2y'
loop_
_atom_site_label
_atom_site_type_symbol
_atom_site_fract_x
_atom_site_fract_y
_atom_site_fract_z
Pr1 Pr 0.1660 0.0000 0.0003
Pr2 Pr 0.2217 0.5000 0.3332
Nd1 Nd 0.0552 0.0000 0.3337
Nd2 Nd 0.1105 0.5000 0.6676
Y1 Y 0.0000 0.5000 0.0000
```

Starting from a crystal structure in Alexandria, relaxed with GGA-PBE, the PXRD pattern of Pr3Nd2Y8 was calculated for CuKα.
Kinematic intensities with the Lorentz-polarization factor, no thermal factor.

Largest 10 diffraction maxima, in order of falling intensity, 2θ from 10° to 80°:
(hkl)	two_theta	Rel. int.
4 2 -1	32.90	100
0 0 2	31.21	40
5 1 1	29.13	32
6 0 -1	30.43	32
2 2 0	24.55	24
8 0 0	34.98	24
4 2 -3	56.62	21
8 0 -2	47.57	20
2 2 -2	40.10	13
9 3 2	63.32	11

Crystal structure
```
data_Pr3Nd2Y8
_chemical_formula_sum 'Pr6 Nd4 Y16'
_cell_length_a 20.5295
_cell_length_b 7.7535
_cell_length_c 5.7319
_cell_angle_alpha 90.00
_cell_angle_beta 90.04
_cell_angle_gamma 90.00
_symmetry_space_group_name_H-M 'C 1 2/m 1'
_symmetry_Int_Tables_number 12
_symmetry_space_group_name_Hall '-C 2y'
loop_
_atom_site_label
_atom_site_type_symbol
_atom_site_fract_x
_atom_site_fract_y
_atom_site_fract_z
Pr1 Pr 0.0000 0.0000 0.0000
Pr2 Pr 0.0000 0.2922 0.5000
Nd1 Nd 0.2417 0.0000 0.9988
Y1 Y 0.1076 0.2901 0.0001
Y2 Y 0.1337 0.0000 0.4995
Y3 Y 0.1689 0.5000 0.5008
```

Starting from a crystal structure in Alexandria, relaxed with GGA-PBE, the PXRD pattern of PrNd3Y8 was calculated for CuKα.
Kinematic intensities with the Lorentz-polarization factor, no thermal factor.

Largest 10 diffraction maxima, in order of falling intensity, 2θ from 10° to 80°:
(hkl)	two_theta	Rel. int.
1 3 2	31.26	100
0 0 4	30.80	43
1 1 2	21.93	37
2 2 0	31.61	26
2 0 2	31.49	25
2 2 2	35.28	22
3 3 2	50.88	21
2 2 4	44.72	20
2 6 4	65.20	19
1 3 6	55.06	17

Crystal structure
```
data_PrNd3Y8
_chemical_formula_sum 'Pr2 Nd6 Y16'
_cell_length_a 6.5164
_cell_length_b 11.4304
_cell_length_c 11.6119
_cell_angle_alpha 90.00
_cell_angle_beta 90.00
_cell_angle_gamma 90.00
_symmetry_space_group_name_H-M 'I m m m'
_symmetry_Int_Tables_number 71
_symmetry_space_group_name_Hall '-I 2 2'
loop_
_atom_site_label
_atom_site_type_symbol
_atom_site_fract_x
_atom_site_fract_y
_atom_site_fract_z
Pr1 Pr 0.0000 0.0000 0.0000
Nd1 Nd 0.0000 0.0000 0.5000
Nd2 Nd 0.0000 0.5000 0.2491
Y1 Y 0.0000 0.1702 0.2501
Y2 Y 0.2505 0.2488 0.5000
```

Starting from a crystal structure in Alexandria, relaxed with GGA-PBE, the PXRD pattern of Pr7NdZn4 was calculated for CuKα.
Kinematic intensities with the Lorentz-polarization factor, no thermal factor.

Largest 10 diffraction maxima, in order of falling intensity, 2θ from 10° to 80°:
(hkl)	two_theta	Rel. int.
0 2 0	31.03	100
1 1 2	30.05	86
5 1 -1	36.65	59
3 1 -3	30.84	55
4 0 -3	29.06	52
4 2 -3	43.03	36
4 0 -1	25.74	29
3 1 1	33.49	29
2 0 2	31.74	23
6 2 1	62.49	22

Crystal structure
```
data_Pr7NdZn4
_chemical_formula_sum 'Pr14 Nd2 Zn8'
_cell_length_a 14.2524
_cell_length_b 5.7645
_cell_length_c 10.2717
_cell_angle_alpha 90.00
_cell_angle_beta 123.40
_cell_angle_gamma 90.00
_symmetry_space_group_name_H-M 'C 1 2/m 1'
_symmetry_Int_Tables_number 12
_symmetry_space_group_name_Hall '-C 2y'
loop_
_atom_site_label
_atom_site_type_symbol
_atom_site_fract_x
_atom_site_fract_y
_atom_site_fract_z
Pr1 Pr 0.0000 0.0000 0.0000
Pr2 Pr 0.0679 0.5000 0.3972
Pr3 Pr 0.2053 0.5000 0.8782
Pr4 Pr 0.2166 0.0000 0.6616
Nd1 Nd 0.0000 0.5000 0.0000
Zn1 Zn 0.0434 0.0000 0.7437
Zn2 Zn 0.1780 0.0000 0.3375
```

Starting from a crystal structure in Alexandria, relaxed with GGA-PBE, the PXRD pattern of Pr2Nd6Zn was calculated for CuKα.
Kinematic intensities with the Lorentz-polarization factor, no thermal factor.

Largest 10 diffraction maxima, in order of falling intensity, 2θ from 10° to 80°:
(hkl)	two_theta	Rel. int.
3 0 1	31.03	100
1 3 1	31.24	60
0 0 2	31.84	41
2 3 2	45.02	20
3 0 3	56.24	13
0 3 1	29.92	13
1 3 3	56.36	11
4 3 2	55.53	10
1 6 1	55.40	8
4 3 0	44.23	8

Crystal structure
```
data_Pr2Nd6Zn
_chemical_formula_sum 'Pr4 Nd12 Zn2'
_cell_length_a 10.0638
_cell_length_b 10.5741
_cell_length_c 5.6208
_cell_angle_alpha 90.00
_cell_angle_beta 90.00
_cell_angle_gamma 90.00
_symmetry_space_group_name_H-M 'P n n m'
_symmetry_Int_Tables_number 58
_symmetry_space_group_name_Hall '-P 2 2n'
loop_
_atom_site_label
_atom_site_type_symbol
_atom_site_fract_x
_atom_site_fract_y
_atom_site_fract_z
Pr1 Pr 0.1834 0.2473 0.0000
Nd1 Nd 0.0108 0.1950 0.5000
Nd2 Nd 0.1360 0.6011 0.0000
Nd3 Nd 0.1940 0.9250 0.0000
Zn1 Zn 0.0000 0.5000 0.5000
```

Starting from a crystal structure in Alexandria, relaxed with GGA-PBE, the PXRD pattern of Pr5NdZn6 was calculated for CuKα.
Kinematic intensities with the Lorentz-polarization factor, no thermal factor.

Largest 10 diffraction maxima, in order of falling intensity, 2θ from 10° to 80°:
(hkl)	two_theta	Rel. int.
1 2 1	34.17	100
1 2 4	61.14	22
2 0 -1	34.26	20
3 2 0	61.24	14
2 0 2	49.05	14
1 0 1	23.96	11
3 2 -3	61.35	7
2 0 -4	49.27	7
0 0 6	72.03	7
1 0 -2	24.06	5

Crystal structure
```
data_Pr5NdZn6
_chemical_formula_sum 'Pr5 Nd1 Zn6'
_cell_length_a 5.2351
_cell_length_b 7.4337
_cell_length_c 8.2834
_cell_angle_alpha 90.00
_cell_angle_beta 108.23
_cell_angle_gamma 90.00
_symmetry_space_group_name_H-M 'P 1 2/m 1'
_symmetry_Int_Tables_number 10
_symmetry_space_group_name_Hall '-P 2y'
loop_
_atom_site_label
_atom_site_type_symbol
_atom_site_fract_x
_atom_site_fract_y
_atom_site_fract_z
Pr1 Pr 0.0000 0.0000 0.0000
Pr2 Pr 0.3332 0.0000 0.6661
Pr3 Pr 0.3336 0.5000 0.6670
Nd1 Nd 0.0000 0.5000 0.0000
Zn1 Zn 0.1657 0.2509 0.3317
Zn2 Zn 0.5000 0.2514 0.0000
```

Starting from a crystal structure in Alexandria, relaxed with GGA-PBE, the PXRD pattern of PrNd2Zn3 was calculated for CuKα.
Kinematic intensities with the Lorentz-polarization factor, no thermal factor.

Largest 10 diffraction maxima, in order of falling intensity, 2θ from 10° to 80°:
(hkl)	two_theta	Rel. int.
1 1 0	34.35	100
1 2 2	61.50	27
2 0 2	49.36	18
1 0 1	24.10	14
3 0 0	61.56	9
2 1 1	55.66	6
0 2 4	72.33	6
2 2 0	72.44	5
0 2 1	42.40	4
3 0 3	77.59	2

Crystal structure
```
data_PrNd2Zn3
_chemical_formula_sum 'Pr1 Nd2 Zn3'
_cell_length_a 5.2187
_cell_length_b 5.2187
_cell_length_c 6.4040
_cell_angle_alpha 90.00
_cell_angle_beta 90.00
_cell_angle_gamma 120.00
_symmetry_space_group_name_H-M 'P -3 m 1'
_symmetry_Int_Tables_number 164
_symmetry_space_group_name_Hall '-P 3 2"'
loop_
_atom_site_label
_atom_site_type_symbol
_atom_site_fract_x
_atom_site_fract_y
_atom_site_fract_z
Pr1 Pr 0.0000 0.0000 0.0000
Nd1 Nd 0.3333 0.6667 0.6658
Zn1 Zn 0.0000 0.0000 0.5000
Zn2 Zn 0.3333 0.6667 0.1688
```

Starting from a crystal structure in Alexandria, relaxed with GGA-PBE, the PXRD pattern of Pr3NdZn4 was calculated for CuKα.
Kinematic intensities with the Lorentz-polarization factor, no thermal factor.

Largest 10 diffraction maxima, in order of falling intensity, 2θ from 10° to 80°:
(hkl)	two_theta	Rel. int.
2 0 0	34.22	100
3 1 2	61.33	24
2 0 4	61.14	12
2 2 0	49.27	12
1 1 0	24.06	9
2 2 4	72.01	7
0 0 4	48.97	6
0 0 2	23.92	5
2 0 2	42.24	4
3 1 0	55.52	4

Crystal structure
```
data_Pr3NdZn4
_chemical_formula_sum 'Pr3 Nd1 Zn4'
_cell_length_a 5.2310
_cell_length_b 5.2310
_cell_length_c 7.4398
_cell_angle_alpha 90.00
_cell_angle_beta 90.00
_cell_angle_gamma 90.00
_symmetry_space_group_name_H-M 'P 4/m m m'
_symmetry_Int_Tables_number 123
_symmetry_space_group_name_Hall '-P 4 2'
loop_
_atom_site_label
_atom_site_type_symbol
_atom_site_fract_x
_atom_site_fract_y
_atom_site_fract_z
Pr1 Pr 0.0000 0.0000 0.0000
Pr2 Pr 0.0000 0.0000 0.5000
Pr3 Pr 0.5000 0.5000 0.0000
Nd1 Nd 0.5000 0.5000 0.5000
Zn1 Zn 0.0000 0.5000 0.2515
```